Entry 1:
For K2ZrS4, a crystal structure in OQMD, relaxed with PBE gives the simulated powder XRD pattern in this record (Cu Kα (λ = 1.5418 Å)).

Main lines, sorted by position (10 to 90 degrees two-theta):
Position (°2θ)	d [Å]	Rel. int.
12.0	7.379	100
15.2	5.840	40
16.6	5.354	24
19.8	4.492	26
25.0	3.561	36
29.2	3.062	35
30.6	2.919	27
32.1	2.789	37
32.8	2.733	33
33.3	2.693	31

```
56
Lattice="6.7387 0.0000 0.0000 0.0000 23.3610 0.0000 0.0000 0.0000 9.5187" Properties=species:S:1:pos:R:3 pbc="T T T"
K 0.4568 4.6416 0.6461
K 0.4568 7.0389 5.4055
K 1.3771 12.4278 3.4208
K 1.3771 22.6137 8.1802
K 1.9923 0.7473 3.4208
K 1.9923 10.9332 8.1802
K 2.9126 16.3221 0.6461
K 2.9126 18.7194 5.4055
K 3.8261 4.6416 4.1132
K 3.8261 7.0389 8.8725
K 4.7464 12.4278 1.3385
K 4.7464 22.6137 6.0978
K 5.3616 0.7473 1.3385
K 5.3616 10.9332 6.0978
K 6.2819 16.3221 4.1132
K 6.2819 18.7194 8.8725
Zr 0.3701 3.0553 6.3710
Zr 0.3701 8.6252 1.6116
Zr 2.9993 14.7358 6.3710
Zr 2.9993 20.3057 1.6116
Zr 3.7394 3.0553 7.9070
Zr 3.7394 8.6252 3.1477
Zr 6.3686 14.7358 7.9070
Zr 6.3686 20.3057 3.1477
S 0.4965 3.7680 3.8885
S 0.4965 7.9125 8.6478
S 0.7743 13.7932 0.5169
S 0.7743 21.2483 5.2763
S 0.9155 13.1939 6.3685
S 0.9155 21.8476 1.6092
S 1.3926 16.4659 7.2775
S 1.3926 18.5756 2.5182
S 1.9767 4.7854 7.2775
S 1.9767 6.8951 2.5182
S 2.4539 1.5134 6.3685
S 2.4539 10.1671 1.6092
S 2.5950 2.1127 0.5169
S 2.5950 9.5678 5.2763
S 2.8729 15.4485 3.8885
S 2.8729 19.5930 8.6478
S 3.8659 3.7680 0.8709
S 3.8659 7.9125 5.6302
S 4.1437 13.7932 4.2424
S 4.1437 21.2483 9.0017
S 4.2848 13.1939 7.9095
S 4.2848 21.8476 3.1502
S 4.7620 16.4659 7.0005
S 4.7620 18.5756 2.2411
S 5.3461 4.7854 7.0005
S 5.3461 6.8951 2.2411
S 5.8232 1.5134 7.9095
S 5.8232 10.1671 3.1502
S 5.9644 2.1127 4.2424
S 5.9644 9.5678 9.0017
S 6.2422 15.4485 0.8709
S 6.2422 19.5930 5.6302
```

---

Entry 2:
For K5ZnSb2, a crystal structure in OQMD, relaxed with PBE gives the simulated powder XRD pattern in this record (Cu Kα (λ = 1.5418 Å)).

Main lines, sorted by position (10 to 90 degrees two-theta):
Position (°2θ)	d [Å]	Rel. int.
17.1	5.182	51
17.9	4.956	23
27.2	3.279	40
29.4	3.040	100
35.0	2.563	21
37.8	2.379	14
40.5	2.229	13
50.8	1.798	12
52.1	1.755	18
55.8	1.646	14

```
8
Lattice="3.0399 1.7551 9.7800 -3.0399 1.7551 9.7800 0.0000 -3.5101 9.7800" Properties=species:S:1:pos:R:3 pbc="T T T"
K 0.0000 0.0000 0.0000
K 0.0000 0.0000 3.8068
K 0.0000 0.0000 8.2383
K 0.0000 0.0000 21.1016
K 0.0000 0.0000 25.5332
Zn 0.0000 0.0000 14.6700
Sb 0.0000 0.0000 12.0685
Sb 0.0000 0.0000 17.2715
```

---

Entry 3:
For K4SiTcSe6, a crystal structure in OQMD, relaxed with PBE gives the simulated powder XRD pattern in this record (Cu Kα (λ = 1.5418 Å)).

Main lines, sorted by position (10 to 90 degrees two-theta):
Position (°2θ)	d [Å]	Rel. int.
13.3	6.678	49
16.0	5.556	80
26.1	3.408	65
26.8	3.322	100
27.2	3.273	100
27.6	3.236	47
32.5	2.757	49
36.8	2.440	32
38.8	2.322	34
44.0	2.057	37

```
12
Lattice="6.8529 0.0000 0.0000 2.9018 6.7985 0.0000 2.7115 1.5925 8.3422" Properties=species:S:1:pos:R:3 pbc="T T T"
K 0.0000 0.0000 0.0000
K 3.2700 3.0151 1.9693
K 6.4629 5.5573 3.5926
K 9.3059 5.6508 6.6087
Si 6.7171 1.5371 3.5623
Tc 6.1288 2.9552 6.7184
Se 5.8434 5.2641 6.9702
Se 4.8226 1.9783 4.9411
Se 6.3064 6.8260 0.2863
Se 6.7451 2.8284 1.7083
Se 8.0313 2.4822 5.3327
Se 9.9254 6.1054 3.2887
```

---

Entry 4:
For K2ZnSn2Se6, a crystal structure in OQMD, relaxed with PBE gives the simulated powder XRD pattern in this record (Cu Kα (λ = 1.5418 Å)).

Main lines, sorted by position (10 to 90 degrees two-theta):
Position (°2θ)	d [Å]	Rel. int.
14.9	5.947	99
27.3	3.272	100
30.1	2.974	37
34.4	2.604	72
43.6	2.075	53
45.8	1.982	23
46.6	1.950	19
47.7	1.906	21
48.4	1.881	22
51.5	1.776	25

```
44
Lattice="8.4104 0.0000 0.0000 0.0000 8.4104 0.0000 0.0000 0.0000 19.8980" Properties=species:S:1:pos:R:3 pbc="T T T"
K 2.1026 2.1026 0.5602
K 2.1026 2.1026 6.4246
K 2.1026 2.1026 10.5093
K 2.1026 2.1026 16.3736
K 6.3078 6.3078 3.5244
K 6.3078 6.3078 9.3888
K 6.3078 6.3078 13.4734
K 6.3078 6.3078 19.3378
Zn 2.1026 6.3078 0.0000
Zn 2.1026 6.3078 9.9490
Zn 6.3078 2.1026 0.0000
Zn 6.3078 2.1026 9.9490
Sn 2.1026 6.3078 3.2100
Sn 2.1026 6.3078 6.7390
Sn 2.1026 6.3078 13.1591
Sn 2.1026 6.3078 16.6880
Sn 6.3078 2.1026 3.2100
Sn 6.3078 2.1026 6.7390
Sn 6.3078 2.1026 13.1591
Sn 6.3078 2.1026 16.6880
Se 0.6197 5.0182 1.6076
Se 0.6197 7.5975 11.5566
Se 0.7360 4.9412 14.9235
Se 0.7360 7.6744 4.9745
Se 0.8130 4.8249 8.3414
Se 0.8130 7.7907 18.2904
Se 3.3923 4.8249 18.2904
Se 3.3923 7.7907 8.3414
Se 3.4692 4.9412 4.9745
Se 3.4692 7.6744 14.9235
Se 3.5855 5.0182 11.5566
Se 3.5855 7.5975 1.6076
Se 4.8249 0.8130 18.2904
Se 4.8249 3.3923 8.3414
Se 4.9412 0.7360 4.9745
Se 4.9412 3.4692 14.9235
Se 5.0182 0.6197 11.5566
Se 5.0182 3.5855 1.6076
Se 7.5975 0.6197 1.6076
Se 7.5975 3.5855 11.5566
Se 7.6744 0.7360 14.9235
Se 7.6744 3.4692 4.9745
Se 7.7907 0.8130 8.3414
Se 7.7907 3.3923 18.2904
```

---

Entry 5:
For K3TaTe2Se2, a crystal structure in OQMD, relaxed with PBE gives the simulated powder XRD pattern in this record (Cu Kα (λ = 1.5418 Å)).

Main lines, sorted by position (10 to 90 degrees two-theta):
Position (°2θ)	d [Å]	Rel. int.
14.8	5.966	100
15.9	5.583	36
25.1	3.547	49
25.2	3.529	20
26.2	3.397	34
27.1	3.292	31
30.0	2.983	65
38.5	2.341	21
39.2	2.300	30
45.6	1.989	34

```
8
Lattice="0.0000 6.2385 4.2798 5.5827 0.0000 4.2798 5.5827 6.2385 0.0000" Properties=species:S:1:pos:R:3 pbc="T T T"
K 0.0000 0.0000 0.0000
K 2.7914 3.1192 3.5584
K 8.3741 9.3577 7.8382
Ta 5.5827 6.2385 4.1537
Te 5.5827 4.0180 5.6448
Te 5.5827 8.4589 5.6448
Se 7.5222 6.2385 2.7495
Se 3.6432 6.2385 2.7495
```

---

Entry 6:
For K3TaTe3Se, a crystal structure in OQMD, relaxed with PBE gives the simulated powder XRD pattern in this record (Cu Kα (λ = 1.5418 Å)).

Main lines, sorted by position (10 to 90 degrees two-theta):
Position (°2θ)	d [Å]	Rel. int.
14.4	6.154	56
15.0	5.908	100
25.1	3.553	57
25.4	3.504	63
26.5	3.367	38
29.0	3.077	56
30.3	2.954	59
44.2	2.051	33
45.0	2.014	33
46.1	1.969	34

```
8
Lattice="6.1535 3.5527 2.3661 -6.1535 3.5527 2.3661 0.0000 -7.1055 2.3661" Properties=species:S:1:pos:R:3 pbc="T T T"
K -2.8116 -1.6233 2.3661
K 2.8116 -1.6233 2.3661
K 0.0000 3.2466 2.3661
Ta 0.0000 0.0000 6.7552
Te -2.1873 -1.2628 5.9376
Te 2.1873 -1.2628 5.9376
Te 0.0000 2.5256 5.9376
Se 0.0000 0.0000 2.0453
```

---

Entry 7:
For KTbTeSe, a crystal structure in OQMD, relaxed with PBE gives the simulated powder XRD pattern in this record (Cu Kα (λ = 1.5418 Å)).

Main lines, sorted by position (10 to 90 degrees two-theta):
Position (°2θ)	d [Å]	Rel. int.
11.1	7.994	52
27.9	3.197	100
35.4	2.538	19
38.3	2.348	34
41.4	2.181	36
43.0	2.104	12
50.7	1.802	19
57.7	1.598	13
67.4	1.389	16
73.4	1.289	18

```
4
Lattice="2.1814 1.2594 7.9942 -2.1814 1.2594 7.9942 0.0000 -2.5189 7.9942" Properties=species:S:1:pos:R:3 pbc="T T T"
K 0.0000 0.0000 0.0000
Tb 0.0000 0.0000 11.7546
Te 0.0000 0.0000 5.5742
Se 0.0000 0.0000 18.2496
```

---

Entry 8:
For KU2Se5, a crystal structure in OQMD, relaxed with PBE gives the simulated powder XRD pattern in this record (Cu Kα (λ = 1.5418 Å)).

Main lines, sorted by position (10 to 90 degrees two-theta):
Position (°2θ)	d [Å]	Rel. int.
12.0	7.356	87
13.9	6.380	58
22.0	4.032	65
24.2	3.680	100
27.1	3.291	45
33.3	2.689	77
36.6	2.452	37
37.7	2.389	93
41.9	2.154	36
45.3	2.003	49

```
8
Lattice="-2.1541 3.5399 7.3564 2.1541 -3.5399 7.3564 2.1541 3.5399 -7.3564" Properties=species:S:1:pos:R:3 pbc="T T T"
K 0.0000 0.0000 0.0000
U 2.1541 0.0000 4.6207
U 0.0000 3.5399 2.7358
Se 2.1541 1.7205 -2.2838
Se 2.1541 1.7205 2.2838
Se 0.0000 3.5399 0.0000
Se 0.0000 1.8194 5.0727
Se 0.0000 1.8194 9.6402
```